Computed XRD peak list
Compound: Tl3Sb2Cl2O4
Radiation: λ = 1.5418 Å (Cu Kα)
Structure: DFT lattice parameters and positions (PBE)

Main lines, in order of rising 2θ (2θ = 5–70°):
| 2θ/deg | I_rel |
| --- | --- |
| 7.06 | 24.0 |
| 27.21 | 80.4 |
| 29.14 | 96.8 |
| 32.46 | 100.0 |
| 36.37 | 33.6 |
| 41.68 | 49.2 |
| 50.49 | 30.8 |
| 53.10 | 31.0 |
| 53.80 | 46.7 |
| 61.71 | 25.6 |

Cell and atoms:
a = 12.890 Å, b = 12.890 Å, c = 12.890 Å
α = 160.64°, β = 160.64°, γ = 27.51°
Sites, in units of the cell vectors:
1 Tl 0.000 0.000 0.000
2 Tl 0.163 0.163 0.000
3 Tl 0.837 0.837 0.000
4 Sb 0.417 0.417 0.000
5 Sb 0.583 0.583 0.000
6 Cl 0.313 0.313 0.000
7 Cl 0.687 0.687 0.000
8 O 0.084 0.584 0.500
9 O 0.416 0.916 0.500
10 O 0.584 0.084 0.500
11 O 0.916 0.416 0.500

=====

Computed XRD peak list
Compound: ZnSb2Cl2O3
Radiation: λ = 1.5418 Å (Cu Kα)
Structure: DFT lattice parameters and positions (PBE)

Main lines, in order of rising 2θ (2θ = 5–70°):
| 2θ/deg | I_rel |
| --- | --- |
| 9.85 | 18.5 |
| 17.00 | 29.5 |
| 21.45 | 16.4 |
| 23.12 | 26.9 |
| 28.90 | 100.0 |
| 31.39 | 36.7 |
| 33.61 | 13.4 |
| 49.63 | 12.4 |
| 54.36 | 16.9 |
| 59.90 | 13.0 |

Cell and atoms:
a = 17.958 Å, b = 5.699 Å, c = 6.408 Å
α = 90.00°, β = 90.00°, γ = 90.00°
Sites, in units of the cell vectors:
1 Zn 0.087 0.250 0.030
2 Zn 0.413 0.750 0.530
3 Zn 0.587 0.250 0.470
4 Zn 0.913 0.750 0.970
5 Sb 0.119 0.750 0.690
6 Sb 0.237 0.250 0.767
7 Sb 0.263 0.750 0.267
8 Sb 0.381 0.250 0.190
9 Sb 0.619 0.750 0.810
10 Sb 0.737 0.250 0.733
11 Sb 0.763 0.750 0.233
12 Sb 0.881 0.250 0.310
13 Cl 0.026 0.750 0.124
14 Cl 0.115 0.250 0.374
15 Cl 0.385 0.750 0.874
16 Cl 0.474 0.250 0.624
17 Cl 0.526 0.750 0.376
18 Cl 0.615 0.250 0.126
19 Cl 0.885 0.750 0.626
20 Cl 0.974 0.250 0.876
21 O 0.158 0.018 0.870
22 O 0.158 0.482 0.870
23 O 0.218 0.750 0.550
24 O 0.282 0.250 0.050
25 O 0.342 0.518 0.370
26 O 0.342 0.982 0.370
27 O 0.658 0.018 0.630
28 O 0.658 0.482 0.630
29 O 0.718 0.750 0.950
30 O 0.782 0.250 0.450
31 O 0.842 0.518 0.130
32 O 0.842 0.982 0.130

=====

Computed XRD peak list
Compound: ScCl3O
Radiation: λ = 1.5418 Å (Cu Kα)
Structure: DFT lattice parameters and positions (PBE)

Main lines, in order of rising 2θ (2θ = 5–70°):
| 2θ/deg | I_rel |
| --- | --- |
| 17.81 | 95.9 |
| 25.29 | 12.5 |
| 31.10 | 46.8 |
| 36.07 | 100.0 |
| 40.50 | 40.5 |
| 51.93 | 60.1 |
| 55.34 | 19.0 |
| 61.78 | 13.4 |
| 64.85 | 18.9 |
| 67.85 | 8.1 |

Cell and atoms:
a = 4.980 Å, b = 4.980 Å, c = 4.980 Å
α = 90.00°, β = 90.00°, γ = 90.00°
Sites, in units of the cell vectors:
1 Sc 0.000 0.000 0.000
2 Cl 0.000 0.000 0.500
3 Cl 0.000 0.500 0.000
4 Cl 0.500 0.000 0.000
5 O 0.500 0.500 0.500

=====

Computed XRD peak list
Compound: SeCl2O
Radiation: λ = 1.5418 Å (Cu Kα)
Structure: DFT lattice parameters and positions (PBE)

Main lines, in order of rising 2θ (2θ = 5–70°):
| 2θ/deg | I_rel |
| --- | --- |
| 16.06 | 100.0 |
| 20.51 | 36.3 |
| 21.59 | 12.7 |
| 23.15 | 14.0 |
| 23.33 | 13.1 |
| 24.64 | 32.2 |
| 32.44 | 37.2 |
| 34.77 | 12.1 |
| 40.43 | 8.9 |
| 48.95 | 11.5 |

Cell and atoms:
a = 4.568 Å, b = 5.705 Å, c = 5.732 Å
α = 81.19°, β = 75.72°, γ = 76.28°
Sites, in units of the cell vectors:
1 Se 0.000 0.000 0.000
2 Cl 0.167 0.597 0.057
3 Cl 0.176 0.049 0.598
4 O 0.625 0.043 0.042

=====

Computed XRD peak list
Compound: SmSeClO4
Radiation: λ = 1.5418 Å (Cu Kα)
Structure: DFT lattice parameters and positions (PBE)

Main lines, in order of rising 2θ (2θ = 5–70°):
| 2θ/deg | I_rel |
| --- | --- |
| 13.47 | 53.7 |
| 18.07 | 51.7 |
| 24.39 | 100.0 |
| 25.20 | 50.5 |
| 29.11 | 48.4 |
| 29.91 | 56.9 |
| 35.36 | 23.1 |
| 35.73 | 42.1 |
| 45.96 | 20.8 |
| 46.52 | 44.8 |

Cell and atoms:
a = 6.247 Å, b = 6.247 Å, c = 6.788 Å
α = 101.67°, β = 101.67°, γ = 71.49°
Sites, in units of the cell vectors:
1 Sm 0.223 0.223 0.128
2 Sm 0.777 0.777 0.872
3 Se 0.363 0.363 0.731
4 Se 0.637 0.637 0.269
5 Cl 0.020 0.020 0.767
6 Cl 0.980 0.980 0.233
7 O 0.137 0.488 0.860
8 O 0.276 0.276 0.492
9 O 0.472 0.472 0.243
10 O 0.488 0.137 0.860
11 O 0.512 0.863 0.140
12 O 0.528 0.528 0.757
13 O 0.724 0.724 0.508
14 O 0.863 0.512 0.140

=====

Computed XRD peak list
Compound: SnSe2Cl8O2
Radiation: λ = 1.5418 Å (Cu Kα)
Structure: DFT lattice parameters and positions (PBE)

Main lines, in order of rising 2θ (2θ = 5–70°):
| 2θ/deg | I_rel |
| --- | --- |
| 10.40 | 54.0 |
| 12.88 | 50.0 |
| 14.23 | 56.7 |
| 16.00 | 100.0 |
| 20.18 | 63.4 |
| 21.00 | 64.8 |
| 24.08 | 38.6 |
| 25.94 | 26.3 |
| 30.10 | 41.2 |
| 32.08 | 40.8 |

Cell and atoms:
a = 6.887 Å, b = 6.887 Å, c = 17.101 Å
α = 93.99°, β = 93.99°, γ = 90.05°
Sites, in units of the cell vectors:
1 Sn 0.196 0.804 0.750
2 Sn 0.804 0.196 0.250
3 Se 0.107 0.216 0.863
4 Se 0.216 0.107 0.363
5 Se 0.784 0.893 0.637
6 Se 0.893 0.784 0.137
7 Cl 0.092 0.407 0.259
8 Cl 0.152 0.691 0.077
9 Cl 0.184 0.304 0.468
10 Cl 0.304 0.184 0.968
11 Cl 0.309 0.848 0.423
12 Cl 0.354 0.642 0.644
13 Cl 0.358 0.646 0.856
14 Cl 0.407 0.092 0.759
15 Cl 0.593 0.908 0.241
16 Cl 0.642 0.354 0.144
17 Cl 0.646 0.358 0.356
18 Cl 0.691 0.152 0.577
19 Cl 0.696 0.816 0.032
20 Cl 0.816 0.696 0.532
21 Cl 0.848 0.309 0.923
22 Cl 0.908 0.593 0.741
23 O 0.015 0.969 0.664
24 O 0.031 0.985 0.836
25 O 0.969 0.015 0.164
26 O 0.985 0.031 0.336

=====

Computed XRD peak list
Compound: YSn3Se2ClO8
Radiation: λ = 1.5418 Å (Cu Kα)
Structure: DFT lattice parameters and positions (PBE)

Main lines, in order of rising 2θ (2θ = 5–70°):
| 2θ/deg | I_rel |
| --- | --- |
| 14.82 | 41.6 |
| 25.15 | 38.1 |
| 27.20 | 49.9 |
| 28.37 | 37.6 |
| 29.24 | 64.0 |
| 29.90 | 58.1 |
| 31.76 | 37.6 |
| 32.23 | 100.0 |
| 49.25 | 35.2 |
| 50.09 | 35.3 |

Cell and atoms:
a = 7.283 Å, b = 10.463 Å, c = 7.526 Å
α = 90.00°, β = 90.00°, γ = 90.00°
Sites, in units of the cell vectors:
1 Y 0.250 0.250 0.179
2 Y 0.750 0.750 0.821
3 Sn 0.000 0.000 0.500
4 Sn 0.000 0.500 0.500
5 Sn 0.250 0.250 0.657
6 Sn 0.500 0.000 0.500
7 Sn 0.500 0.500 0.500
8 Sn 0.750 0.750 0.343
9 Se 0.250 0.564 0.932
10 Se 0.250 0.936 0.932
11 Se 0.750 0.064 0.068
12 Se 0.750 0.436 0.068
13 Cl 0.250 0.750 0.384
14 Cl 0.750 0.250 0.616
15 O 0.063 0.591 0.794
16 O 0.063 0.909 0.794
17 O 0.250 0.103 0.946
18 O 0.250 0.124 0.427
19 O 0.250 0.376 0.427
20 O 0.250 0.397 0.946
21 O 0.437 0.591 0.794
22 O 0.437 0.909 0.794
23 O 0.563 0.091 0.206
24 O 0.563 0.409 0.206
25 O 0.750 0.603 0.054
26 O 0.750 0.624 0.573
27 O 0.750 0.876 0.573
28 O 0.750 0.897 0.054
29 O 0.937 0.091 0.206
30 O 0.937 0.409 0.206

=====

Computed XRD peak list
Compound: Tb3Se2ClO8
Radiation: λ = 1.5418 Å (Cu Kα)
Structure: DFT lattice parameters and positions (PBE)

Main lines, in order of rising 2θ (2θ = 5–70°):
| 2θ/deg | I_rel |
| --- | --- |
| 9.91 | 77.3 |
| 21.44 | 20.2 |
| 25.45 | 26.6 |
| 28.96 | 100.0 |
| 31.19 | 25.8 |
| 31.87 | 26.4 |
| 32.91 | 17.3 |
| 34.12 | 17.7 |
| 53.09 | 24.0 |
| 58.30 | 27.6 |

Cell and atoms:
a = 5.610 Å, b = 14.689 Å, c = 11.237 Å
α = 90.00°, β = 90.00°, γ = 90.00°
Sites, in units of the cell vectors:
1 Tb 0.064 0.250 0.148
2 Tb 0.080 0.066 0.355
3 Tb 0.080 0.434 0.355
4 Tb 0.420 0.566 0.855
5 Tb 0.420 0.934 0.855
6 Tb 0.436 0.750 0.648
7 Tb 0.564 0.250 0.352
8 Tb 0.580 0.066 0.145
9 Tb 0.580 0.434 0.145
10 Tb 0.920 0.566 0.645
11 Tb 0.920 0.934 0.645
12 Tb 0.936 0.750 0.852
13 Se 0.095 0.610 0.122
14 Se 0.095 0.890 0.122
15 Se 0.405 0.110 0.622
16 Se 0.405 0.390 0.622
17 Se 0.595 0.610 0.378
18 Se 0.595 0.890 0.378
19 Se 0.905 0.110 0.878
20 Se 0.905 0.390 0.878
21 Cl 0.076 0.250 0.473
22 Cl 0.424 0.750 0.973
23 Cl 0.576 0.250 0.027
24 Cl 0.924 0.750 0.527
25 O 0.072 0.137 0.998
26 O 0.072 0.363 0.998
27 O 0.075 0.024 0.808
28 O 0.075 0.476 0.808
29 O 0.179 0.044 0.556
30 O 0.179 0.456 0.556
31 O 0.182 0.652 0.743
32 O 0.182 0.848 0.743
33 O 0.318 0.152 0.243
34 O 0.318 0.348 0.243
35 O 0.321 0.544 0.056
36 O 0.321 0.956 0.056
37 O 0.425 0.524 0.308
38 O 0.425 0.976 0.308
39 O 0.428 0.637 0.498
40 O 0.428 0.863 0.498
41 O 0.572 0.137 0.502
42 O 0.572 0.363 0.502
43 O 0.575 0.024 0.692
44 O 0.575 0.476 0.692
45 O 0.679 0.044 0.944
46 O 0.679 0.456 0.944
47 O 0.682 0.652 0.757
48 O 0.682 0.848 0.757
49 O 0.818 0.152 0.257
50 O 0.818 0.348 0.257
51 O 0.821 0.544 0.444
52 O 0.821 0.956 0.444
53 O 0.925 0.524 0.192
54 O 0.925 0.976 0.192
55 O 0.928 0.637 0.002
56 O 0.928 0.863 0.002